1.
For LaTm5Ru6, a structure optimized by DFT (PBE) gives the calculated powder X-ray diffraction pattern in this record (Cu Kα X-rays).
Kinematic intensities with the Lorentz-polarization factor, no thermal factor.

Main lines, sorted by position (5° ≤ 2θ ≤ 70°):
hkl 0 2 0, 26.36°, intensity 7
hkl 2 0 0, 37.61°, intensity 100
hkl 0 0 6, 37.70°, intensity 20
hkl 2 2 0, 46.46°, intensity 1
hkl 0 2 6, 46.58°, intensity 1
hkl 0 4 0, 54.26°, intensity 21
hkl 3 0 3, 61.22°, intensity 1
hkl 1 4 3, 61.30°, intensity 2
hkl 3 2 3, 67.86°, intensity 28
hkl 1 2 9, 68.00°, intensity 14

```
data_LaTm5Ru6
_space_group_name_H-M_alt 'I m m m'
_space_group_IT_number 71
_space_group_name_Hall '-I 2 2'
_cell_length_a 4.788
_cell_length_b 6.765
_cell_length_c 14.317
_cell_angle_alpha 90.00
_cell_angle_beta 90.00
_cell_angle_gamma 90.00
loop_
_atom_site_label
_atom_site_type_symbol
_atom_site_fract_x
_atom_site_fract_y
_atom_site_fract_z
_atom_site_occupancy
La1 La 0.000 0.000 0.000 1
Tm1 Tm 0.000 0.000 0.334 1
Tm2 Tm 0.000 0.500 0.000 1
Tm3 Tm 0.000 0.500 0.328 1
Ru1 Ru 0.000 0.250 0.166 1
Ru2 Ru 0.000 0.250 0.500 1
```

2.
For Ca4Ni2H, a structure optimized by DFT (PBE) gives the calculated powder X-ray diffraction pattern in this record (Cu Kα X-rays).
Kinematic intensities with the Lorentz-polarization factor, no thermal factor.

Main lines, sorted by position (5° ≤ 2θ ≤ 70°):
hkl 2 0 0, 12.43°, intensity 100
hkl 0 0 1, 15.31°, intensity 25
hkl 2 0 -1, 17.57°, intensity 30
hkl 3 1 0, 29.65°, intensity 23
hkl 3 1 -1, 31.57°, intensity 54
hkl 4 0 1, 32.19°, intensity 32
hkl 3 1 1, 35.39°, intensity 31
hkl 3 1 -2, 40.19°, intensity 27
hkl 1 1 2, 40.38°, intensity 34
hkl 0 2 0, 46.59°, intensity 22

```
data_Ca4Ni2H
_space_group_name_H-M_alt 'C 1 2/m 1'
_space_group_IT_number 12
_cell_length_a 14.577
_cell_length_b 3.899
_cell_length_c 5.923
_cell_angle_alpha 90.00
_cell_angle_beta 102.26
_cell_angle_gamma 90.00
loop_
_space_group_symop_operation_xyz
'x,y,z'
'-x,-y,-z'
'-x,y,-z'
'x,-y,z'
'x+1/2,y+1/2,z'
'-x+1/2,-y+1/2,-z'
'-x+1/2,y+1/2,-z'
'x+1/2,-y+1/2,z'
loop_
_atom_site_label
_atom_site_type_symbol
_atom_site_fract_x
_atom_site_fract_y
_atom_site_fract_z
_atom_site_occupancy
Ca1 Ca 0.084 0.000 0.277 1
Ca2 Ca 0.157 0.500 0.821 1
Ni1 Ni 0.237 0.500 0.389 1
H1 H 0.000 0.500 0.000 1
```